Dy2Mo3H2Se2O17: calculated XRD peak list (Cu Kα X-rays), based on a PBE+U-relaxed structure.

Structural model:
```
52
Lattice="6.844 0.000 0.000 0.000 7.311 0.000 -2.347 0.000 14.167" Properties=species:S:1:pos:R:3 pbc="T T T"
Dy 0.725 1.828 0.539
Dy 0.770 5.483 5.349
Dy 3.726 1.828 8.818
Dy 3.771 5.483 13.629
Mo 0.508 0.028 9.023
Mo 0.508 3.628 9.023
Mo 0.533 5.483 11.791
Mo 3.964 1.828 2.377
Mo 3.988 3.683 5.144
Mo 3.988 7.283 5.144
H -0.252 1.048 12.111
H -0.252 2.607 12.111
H 4.748 4.704 2.057
H 4.748 6.263 2.057
Se 0.961 1.828 4.348
Se 1.683 5.483 1.663
Se 2.814 1.828 12.505
Se 3.536 5.483 9.819
O -1.177 0.542 9.091
O -1.177 3.114 9.091
O -1.191 5.483 12.225
O 0.865 4.194 0.792
O 0.865 6.773 0.792
O 0.897 5.483 3.177
O -0.647 1.828 12.585
O 0.244 5.483 9.590
O 0.634 4.145 7.339
O 0.634 6.822 7.339
O 1.633 1.828 2.775
O 0.694 3.684 11.133
O 0.694 7.283 11.133
O 1.778 0.441 5.033
O 1.778 3.215 5.033
O 1.323 1.828 8.920
O 3.165 1.828 0.796
O 1.332 5.483 13.372
O 3.174 5.483 5.247
O 2.719 4.096 9.135
O 2.719 6.870 9.135
O 3.802 0.028 3.034
O 3.802 3.627 3.034
O 2.864 5.483 11.393
O 3.863 0.489 6.828
O 3.863 3.166 6.828
O 4.253 1.828 4.578
O 5.143 5.483 1.582
O 3.599 1.828 10.990
O 3.632 0.538 13.375
O 3.632 3.117 13.375
O 5.688 1.828 1.942
O 5.674 4.197 5.077
O 5.674 6.770 5.077
```

The 10 most intense peaks (5° ≤ 2θ ≤ 70°), most intense first:
2θ = 26.41°, 3.375 Å, I 100, (2 0 0); 2θ = 25.15°, 3.541 Å, I 100, (0 0 4); 2θ = 32.43°, 2.761 Å, I 64, (1 2 -3); 2θ = 27.98°, 3.189 Å, I 63, (1 2 -1); 2θ = 18.79°, 4.722 Å, I 63, (0 0 3); 2θ = 31.44°, 2.845 Å, I 52, (1 2 2); 2θ = 17.43°, 5.087 Å, I 52, (0 1 2); 2θ = 32.79°, 2.731 Å, I 50, (1 1 4); 2θ = 24.36°, 3.654 Å, I 50, (0 2 0); 2θ = 28.94°, 3.085 Å, I 49, (1 2 1)